No. 1
Structure and simulated X-ray powder pattern of Cd2Ge3O9 (a cell relaxed with GGA-PBE; Cu Kα).

Principal peaks in the range 2θ = 15–90°, in order of falling intensity:
2θ (°)	I/Imax
26.5	100
31.6	92
36.1	74
29.4	74
18.2	71
24.7	67

Crystal structure
a b c (Å): 7.2010 7.6580 8.0254
angles (deg): 104.14 114.22 97.04
Sites, in units of the cell vectors:
Cd (0.1072, 0.2696, 0.3950)
Cd (0.1877, 0.8739, 0.1130)
Cd (0.8123, 0.1261, 0.8870)
Cd (0.8928, 0.7304, 0.6050)
Ge (0.2807, 0.1220, 0.8109)
Ge (0.3165, 0.5535, 0.8503)
Ge (0.3682, 0.7643, 0.5474)
Ge (0.6318, 0.2357, 0.4526)
Ge (0.6835, 0.4465, 0.1497)
Ge (0.7193, 0.8780, 0.1891)
O (0.0713, 0.6146, 0.8429)
O (0.0910, 0.0152, 0.8664)
O (0.1892, 0.2955, 0.7061)
O (0.2507, 0.9490, 0.6004)
O (0.2612, 0.6798, 0.2915)
O (0.2655, 0.5789, 0.6093)
O (0.3578, 0.1619, 0.3333)
O (0.4083, 0.4869, 0.0806)
O (0.4525, 0.8140, 0.0046)
O (0.5475, 0.1860, 0.9954)
O (0.5917, 0.5131, 0.9194)
O (0.6422, 0.8381, 0.6667)
O (0.7345, 0.4211, 0.3907)
O (0.7388, 0.3202, 0.7085)
O (0.7493, 0.0510, 0.3996)
O (0.8108, 0.7045, 0.2939)
O (0.9090, 0.9848, 0.1336)
O (0.9287, 0.3854, 0.1571)


No. 2
Structure and simulated X-ray powder pattern of Cd2Ge7O16 (a cell relaxed with GGA-PBE; Cu Kα).

Principal peaks in the range 2θ = 15–90°, in order of falling intensity:
2θ (°)	I/Imax
31.1	100
24.5	25
32.2	24
21.8	24
51.5	21
33.2	21

Crystal structure
a b c (Å): 11.4644 11.4644 4.7124
angles (deg): 90.00 90.00 90.00
Sites, in units of the cell vectors:
Cd (0.1632, 0.3368, 0.0000)
Cd (0.3368, 0.8368, 0.0000)
Cd (0.6632, 0.1632, 0.0000)
Cd (0.8368, 0.6632, 0.0000)
Ge (0.0000, 0.5000, 0.5000)
Ge (0.0694, 0.8150, 0.5099)
Ge (0.1357, 0.6357, 0.0000)
Ge (0.1850, 0.0694, 0.4901)
Ge (0.3150, 0.5694, 0.4901)
Ge (0.3643, 0.1357, 0.0000)
Ge (0.4306, 0.3150, 0.5099)
Ge (0.5000, 0.0000, 0.5000)
Ge (0.5694, 0.6850, 0.5099)
Ge (0.6357, 0.8643, 0.0000)
Ge (0.6850, 0.4306, 0.4901)
Ge (0.8150, 0.9306, 0.4901)
Ge (0.8643, 0.3643, 0.0000)
Ge (0.9306, 0.1850, 0.5099)
O (0.0007, 0.6185, 0.7480)
O (0.0308, 0.7196, 0.2281)
O (0.0645, 0.1388, 0.6659)
O (0.1185, 0.5007, 0.2520)
O (0.1388, 0.9355, 0.3341)
O (0.1735, 0.7687, 0.7714)
O (0.2196, 0.5308, 0.7719)
O (0.2313, 0.1735, 0.2286)
O (0.2687, 0.6735, 0.2286)
O (0.2804, 0.0308, 0.7719)
O (0.3265, 0.2687, 0.7714)
O (0.3612, 0.4355, 0.3341)
O (0.3815, 0.0007, 0.2520)
O (0.4355, 0.6388, 0.6659)
O (0.4692, 0.2196, 0.2281)
O (0.4993, 0.1185, 0.7480)
O (0.5007, 0.8815, 0.7480)
O (0.5308, 0.7804, 0.2281)
O (0.5645, 0.3612, 0.6659)
O (0.6185, 0.9993, 0.2520)
O (0.6388, 0.5645, 0.3341)
O (0.6735, 0.7313, 0.7714)
O (0.7196, 0.9692, 0.7719)
O (0.7313, 0.3265, 0.2286)
O (0.7687, 0.8265, 0.2286)
O (0.7804, 0.4692, 0.7719)
O (0.8265, 0.2313, 0.7714)
O (0.8612, 0.0645, 0.3341)
O (0.8815, 0.4993, 0.2520)
O (0.9355, 0.8612, 0.6659)
O (0.9692, 0.2804, 0.2281)
O (0.9993, 0.3815, 0.7480)


No. 3
Structure and simulated X-ray powder pattern of Cd3GeO6 (a cell relaxed with GGA-PBE; Cu Kα).

Principal peaks in the range 2θ = 15–90°, in order of falling intensity:
2θ (°)	I/Imax
29.5	100
36.5	22
47.6	22
31.4	19
47.0	17
19.5	17

Crystal structure
a b c (Å): 9.7617 5.1498 5.8578
angles (deg): 90.00 90.00 90.00
Sites, in units of the cell vectors:
Cd (0.0000, 0.2378, 0.0000)
Cd (0.1965, 0.2424, 0.5125)
Cd (0.3035, 0.7576, 0.0125)
Cd (0.5000, 0.7622, 0.5000)
Cd (0.6965, 0.7576, 0.0125)
Cd (0.8035, 0.2424, 0.5125)
Ge (0.0000, 0.6791, 0.3639)
Ge (0.5000, 0.3209, 0.8639)
O (0.0000, 0.0171, 0.3484)
O (0.0000, 0.5163, 0.6341)
O (0.1418, 0.5250, 0.2159)
O (0.1587, 0.0067, 0.8221)
O (0.3413, 0.9933, 0.3221)
O (0.3582, 0.4750, 0.7159)
O (0.5000, 0.4837, 0.1341)
O (0.5000, 0.9829, 0.8484)
O (0.6418, 0.4750, 0.7159)
O (0.6587, 0.9933, 0.3221)
O (0.8413, 0.0067, 0.8221)
O (0.8582, 0.5250, 0.2159)


No. 4
Structure and simulated X-ray powder pattern of Pm2CdGe (a cell relaxed with GGA-PBE; Cu Kα).

Principal peaks in the range 2θ = 15–90°, in order of falling intensity:
2θ (°)	I/Imax
34.0	100
60.8	37
48.8	18
81.5	16
71.5	11
23.8	6

Crystal structure
a b c (Å): 7.4671 7.4671 7.4671
angles (deg): 90.00 90.00 90.00
Sites, in units of the cell vectors:
Pm (0.2500, 0.2500, 0.2500)
Pm (0.2500, 0.2500, 0.7500)
Pm (0.2500, 0.7500, 0.2500)
Pm (0.2500, 0.7500, 0.7500)
Pm (0.7500, 0.2500, 0.2500)
Pm (0.7500, 0.2500, 0.7500)
Pm (0.7500, 0.7500, 0.2500)
Pm (0.7500, 0.7500, 0.7500)
Cd (0.0000, 0.0000, 0.0000)
Cd (0.0000, 0.5000, 0.5000)
Cd (0.5000, 0.0000, 0.5000)
Cd (0.5000, 0.5000, 0.0000)
Ge (0.0000, 0.0000, 0.5000)
Ge (0.0000, 0.5000, 0.0000)
Ge (0.5000, 0.0000, 0.0000)
Ge (0.5000, 0.5000, 0.5000)


No. 5
Structure and simulated X-ray powder pattern of Pr6CdGe2S14 (a cell relaxed with GGA-PBE; Cu Kα).

Principal peaks in the range 2θ = 15–90°, in order of falling intensity:
2θ (°)	I/Imax
25.1	100
34.7	43
36.7	41
36.2	38
23.0	35
39.4	34

Crystal structure
a b c (Å): 10.3330 10.3330 5.8429
angles (deg): 90.00 90.00 120.00
Sites, in units of the cell vectors:
Pr (0.0248, 0.5636, 0.0000)
Pr (0.3089, 0.1032, 0.5051)
Pr (0.4364, 0.4612, 0.0000)
Pr (0.5388, 0.9752, 0.0000)
Pr (0.7943, 0.6911, 0.5051)
Pr (0.8968, 0.2057, 0.5051)
Cd (0.6667, 0.3333, 0.2644)
Ge (0.0000, 0.0000, 0.9201)
Ge (0.3333, 0.6667, 0.4147)
S (0.0000, 0.0000, 0.2960)
S (0.0803, 0.8535, 0.7645)
S (0.1465, 0.2268, 0.7645)
S (0.1868, 0.4398, 0.2611)
S (0.2530, 0.8132, 0.2611)
S (0.3333, 0.6667, 0.7915)
S (0.4093, 0.1705, 0.0324)
S (0.5029, 0.4248, 0.5189)
S (0.5602, 0.7470, 0.2611)
S (0.5752, 0.0781, 0.5189)
S (0.7612, 0.5907, 0.0324)
S (0.7732, 0.9197, 0.7645)
S (0.8295, 0.2388, 0.0324)
S (0.9219, 0.4971, 0.5189)


No. 6
Structure and simulated X-ray powder pattern of Cd4GeSe3S3 (a cell relaxed with GGA-PBE; Cu Kα).

Principal peaks in the range 2θ = 15–90°, in order of falling intensity:
2θ (°)	I/Imax
24.9	100
29.4	88
23.9	87
42.1	82
44.7	79
25.1	66

Crystal structure
a b c (Å): 7.4878 7.4878 12.9327
angles (deg): 107.25 107.25 59.39
Sites, in units of the cell vectors:
Cd (0.0773, 0.9227, 0.5000)
Cd (0.2198, 0.4427, 0.0006)
Cd (0.4272, 0.8259, 0.8356)
Cd (0.4427, 0.2198, 0.5006)
Cd (0.6941, 0.9160, 0.1883)
Cd (0.8259, 0.4272, 0.3356)
Cd (0.9160, 0.6941, 0.6883)
Cd (0.9227, 0.0773, 0.0000)
Ge (0.2898, 0.8346, 0.2538)
Ge (0.8346, 0.2898, 0.7538)
Se (0.0679, 0.5641, 0.5018)
Se (0.1135, 0.6254, 0.2017)
Se (0.1712, 0.7135, 0.8823)
Se (0.5641, 0.0679, 0.0018)
Se (0.6254, 0.1135, 0.7017)
Se (0.7135, 0.1712, 0.3823)
S (0.1133, 0.1474, 0.2011)
S (0.1474, 0.1133, 0.7011)
S (0.4016, 0.8680, 0.4353)
S (0.5819, 0.6340, 0.1772)
S (0.6340, 0.5819, 0.6772)
S (0.8680, 0.4016, 0.9353)


Copy entry 2 word for word.
Structure and simulated X-ray powder pattern of Cd2Ge7O16 (a cell relaxed with GGA-PBE; Cu Kα).

Principal peaks in the range 2θ = 15–90°, in order of falling intensity:
2θ (°)	I/Imax
31.1	100
24.5	25
32.2	24
21.8	24
51.5	21
33.2	21

Crystal structure
a b c (Å): 11.4644 11.4644 4.7124
angles (deg): 90.00 90.00 90.00
Sites, in units of the cell vectors:
Cd (0.1632, 0.3368, 0.0000)
Cd (0.3368, 0.8368, 0.0000)
Cd (0.6632, 0.1632, 0.0000)
Cd (0.8368, 0.6632, 0.0000)
Ge (0.0000, 0.5000, 0.5000)
Ge (0.0694, 0.8150, 0.5099)
Ge (0.1357, 0.6357, 0.0000)
Ge (0.1850, 0.0694, 0.4901)
Ge (0.3150, 0.5694, 0.4901)
Ge (0.3643, 0.1357, 0.0000)
Ge (0.4306, 0.3150, 0.5099)
Ge (0.5000, 0.0000, 0.5000)
Ge (0.5694, 0.6850, 0.5099)
Ge (0.6357, 0.8643, 0.0000)
Ge (0.6850, 0.4306, 0.4901)
Ge (0.8150, 0.9306, 0.4901)
Ge (0.8643, 0.3643, 0.0000)
Ge (0.9306, 0.1850, 0.5099)
O (0.0007, 0.6185, 0.7480)
O (0.0308, 0.7196, 0.2281)
O (0.0645, 0.1388, 0.6659)
O (0.1185, 0.5007, 0.2520)
O (0.1388, 0.9355, 0.3341)
O (0.1735, 0.7687, 0.7714)
O (0.2196, 0.5308, 0.7719)
O (0.2313, 0.1735, 0.2286)
O (0.2687, 0.6735, 0.2286)
O (0.2804, 0.0308, 0.7719)
O (0.3265, 0.2687, 0.7714)
O (0.3612, 0.4355, 0.3341)
O (0.3815, 0.0007, 0.2520)
O (0.4355, 0.6388, 0.6659)
O (0.4692, 0.2196, 0.2281)
O (0.4993, 0.1185, 0.7480)
O (0.5007, 0.8815, 0.7480)
O (0.5308, 0.7804, 0.2281)
O (0.5645, 0.3612, 0.6659)
O (0.6185, 0.9993, 0.2520)
O (0.6388, 0.5645, 0.3341)
O (0.6735, 0.7313, 0.7714)
O (0.7196, 0.9692, 0.7719)
O (0.7313, 0.3265, 0.2286)
O (0.7687, 0.8265, 0.2286)
O (0.7804, 0.4692, 0.7719)
O (0.8265, 0.2313, 0.7714)
O (0.8612, 0.0645, 0.3341)
O (0.8815, 0.4993, 0.2520)
O (0.9355, 0.8612, 0.6659)
O (0.9692, 0.2804, 0.2281)
O (0.9993, 0.3815, 0.7480)